For Mg3AlCd6, a crystal structure in Alexandria, relaxed with GGA-PBE gives the computed PXRD pattern in this record (λ = 1.5418 Å (Cu Kα)).
No peak broadening, texture or thermal motion is included.

Top 10 peaks for 10 to 80 degrees two-theta, by angle:
23.58 deg, d 3.773, I = 100.0
25.12 deg, d 3.544, I = 45.2
26.45 deg, d 3.370, I = 41.7
33.20 deg, d 2.699, I = 27.2
34.73 deg, d 2.583, I = 66.1
35.73 deg, d 2.513, I = 74.0
36.07 deg, d 2.490, I = 65.2
37.53 deg, d 2.396, I = 70.5
43.54 deg, d 2.079, I = 53.1
44.79 deg, d 2.023, I = 43.5

Crystal structure
```
Mg3AlCd6
1.0
5.2962 -5.6418 0.0000
5.2962 5.6418 0.0000
0.0000 0.0000 7.5455
Mg Al Cd
6 2 12
Cartesian
5.2962 3.5313 5.6591 Mg
3.6360 0.6048 5.6591 Mg
3.6360 -0.6048 1.8864 Mg
6.9563 0.6048 5.6591 Mg
6.9563 -0.6048 1.8864 Mg
5.2962 -3.5313 1.8864 Mg
5.2962 4.0011 1.8864 Al
5.2962 -4.0011 5.6591 Al
2.6481 2.8209 0.0000 Cd
2.6481 2.8209 3.7728 Cd
1.4683 0.0000 0.0000 Cd
1.4683 0.0000 3.7728 Cd
5.2962 1.5101 0.4348 Cd
5.2962 1.5101 3.3380 Cd
2.6481 -2.8209 0.0000 Cd
2.6481 -2.8209 3.7728 Cd
5.2962 -1.5101 4.2076 Cd
5.2962 -1.5101 7.1107 Cd
9.1240 0.0000 0.0000 Cd
9.1240 0.0000 3.7728 Cd
```

---

For Mg7AlCd4, a crystal structure in Alexandria, relaxed with GGA-PBE gives the computed PXRD pattern in this record (λ = 1.5418 Å (Cu Kα)).
No peak broadening, texture or thermal motion is included.

Top 10 peaks for 10 to 80 degrees two-theta, by angle:
17.50 deg, d 5.066, I = 50.5
19.03 deg, d 4.663, I = 91.4
21.83 deg, d 4.072, I = 36.0
24.99 deg, d 3.563, I = 79.3
26.32 deg, d 3.386, I = 37.6
34.77 deg, d 2.580, I = 75.0
36.47 deg, d 2.463, I = 58.3
37.06 deg, d 2.426, I = 100.0
37.91 deg, d 2.373, I = 90.3
51.28 deg, d 1.782, I = 41.5

Crystal structure
```
Mg7AlCd4
1.0
6.8733 -2.5801 0.0000
6.8733 2.5801 0.0000
-6.2808 0.0000 8.1438
Mg Al Cd
7 1 4
Cartesian
0.0000 0.0000 0.0000 Mg
-1.5864 0.0000 4.8776 Mg
3.0528 0.0000 1.0932 Mg
1.7658 0.0000 5.4313 Mg
5.7000 0.0000 2.7125 Mg
4.4130 0.0000 7.0506 Mg
9.0522 0.0000 3.2661 Mg
6.8733 0.0000 0.0000 Al
-3.9789 0.0000 6.3750 Cd
0.6119 0.0000 2.8140 Cd
6.8539 0.0000 5.3297 Cd
11.4447 0.0000 1.7688 Cd
```